[1]
# Zn3As2
Simulated powder diffractogram, a wavelength of 1.5418 Å. Input: a cell relaxed with PBE.
Neutral-atom scattering factors, no anomalous dispersion.

Most intense lines, 10 to 90 degrees two-theta, in order of rising 2θ:
two_theta, Rel. int., hkl
24.89, 7, 2 1 1
26.02, 52, 2 0 2
28.14, 7, 2 1 2
31.09, 12, 2 0 3
32.91, 6, 2 1 3
35.48, 5, 3 0 2
43.13, 100, 4 0 0
51.06, 25, 4 2 2
62.60, 10, 4 4 0
69.00, 9, 6 0 2
79.08, 25, 6 2 4
84.92, 6, 6 0 6

Structure:
abc: 8.3939 8.3939 11.8531
angles: 90.00 90.00 90.00
Sites, in units of the cell vectors:
Zn 0.0036 0.7500 0.1035
Zn 0.0262 0.7500 0.6410
Zn 0.0269 0.2500 0.6345
Zn 0.2500 0.0269 0.1345
Zn 0.2500 0.4731 0.1345
Zn 0.2500 0.5036 0.3965
Zn 0.2500 0.5262 0.8590
Zn 0.2500 0.9738 0.8590
Zn 0.2500 0.9964 0.3965
Zn 0.4731 0.2500 0.6345
Zn 0.4738 0.7500 0.6410
Zn 0.4964 0.7500 0.1035
Zn 0.5036 0.2500 0.8965
Zn 0.5262 0.2500 0.3590
Zn 0.5269 0.7500 0.3655
Zn 0.7500 0.0036 0.6035
Zn 0.7500 0.0262 0.1410
Zn 0.7500 0.4738 0.1410
Zn 0.7500 0.4964 0.6035
Zn 0.7500 0.5269 0.8655
Zn 0.7500 0.9731 0.8655
Zn 0.9731 0.7500 0.3655
Zn 0.9738 0.2500 0.3590
Zn 0.9964 0.2500 0.8965
As 0.0033 0.5033 0.2500
As 0.0033 0.9967 0.2500
As 0.2500 0.2500 0.4968
As 0.2500 0.2500 0.9968
As 0.2500 0.7500 0.5048
As 0.2500 0.7500 0.9952
As 0.4967 0.5033 0.2500
As 0.4967 0.9967 0.2500
As 0.5033 0.0033 0.7500
As 0.5033 0.4967 0.7500
As 0.7500 0.2500 0.0048
As 0.7500 0.2500 0.4952
As 0.7500 0.7500 0.0032
As 0.7500 0.7500 0.5032
As 0.9967 0.0033 0.7500
As 0.9967 0.4967 0.7500

[2]
# Zn2As
Simulated powder diffractogram, a wavelength of 1.5418 Å. Input: a cell relaxed with PBE.
Neutral-atom scattering factors, no anomalous dispersion.

Most intense lines, 10 to 90 degrees two-theta, in order of rising 2θ:
two_theta, Rel. int., hkl
28.14, 22, 1 0 3
29.45, 37, 2 0 -3
35.54, 20, 1 0 4
36.27, 100, 0 2 0
39.48, 25, 2 1 -4
40.07, 27, 1 1 4
40.31, 27, 3 1 -2
42.46, 27, 3 1 1
42.67, 23, 3 1 -3
46.07, 34, 3 1 2
46.36, 20, 3 1 -4
47.20, 19, 1 1 5

Structure:
abc: 7.7211 4.9540 11.8175
angles: 90.00 102.14 90.00
Sites, in units of the cell vectors:
Zn 0.0425 0.2500 0.2062
Zn 0.0637 0.7500 0.5632
Zn 0.1067 0.7500 0.3443
Zn 0.1179 0.7500 0.0750
Zn 0.1437 0.2500 0.8319
Zn 0.2073 0.2500 0.5886
Zn 0.4151 0.7500 0.9971
Zn 0.4404 0.7500 0.4180
Zn 0.5596 0.2500 0.5820
Zn 0.5849 0.2500 0.0029
Zn 0.7927 0.7500 0.4114
Zn 0.8563 0.7500 0.1681
Zn 0.8821 0.2500 0.9250
Zn 0.8933 0.2500 0.6557
Zn 0.9363 0.2500 0.4368
Zn 0.9575 0.7500 0.7938
As 0.2406 0.2500 0.0528
As 0.2896 0.7500 0.7586
As 0.3043 0.2500 0.3936
As 0.4385 0.2500 0.7718
As 0.5615 0.7500 0.2282
As 0.6957 0.7500 0.6064
As 0.7104 0.2500 0.2414
As 0.7594 0.7500 0.9472

[3]
# Zr4As3
Simulated powder diffractogram, a wavelength of 1.5418 Å. Input: a cell relaxed with PBE.
Neutral-atom scattering factors, no anomalous dispersion.

Most intense lines, 10 to 90 degrees two-theta, in order of rising 2θ:
two_theta, Rel. int., hkl
12.49, 28, 1 0 0
21.72, 14, 1 1 0
33.13, 72, 0 0 2
33.46, 67, 2 1 0
37.47, 100, 1 2 1
38.10, 36, 3 0 0
47.52, 12, 2 2 1
47.80, 48, 2 1 2
51.36, 29, 3 0 2
62.06, 22, 1 2 3
72.75, 15, 4 2 1
79.39, 14, 2 1 4

Structure:
abc: 8.1826 8.1826 5.4080
angles: 90.00 90.00 120.00
Sites, in units of the cell vectors:
Zr 0.0961 0.6711 0.2500
Zr 0.3289 0.4250 0.2500
Zr 0.3333 0.6667 0.7500
Zr 0.4250 0.0961 0.7500
Zr 0.5750 0.9039 0.2500
Zr 0.6667 0.3333 0.2500
Zr 0.6711 0.5750 0.7500
Zr 0.9039 0.3289 0.7500
As 0.0502 0.7298 0.7500
As 0.2702 0.3203 0.7500
As 0.3203 0.0502 0.2500
As 0.6797 0.9498 0.7500
As 0.7298 0.6797 0.2500
As 0.9498 0.2702 0.2500